No. 1
The following is a theoretical XRD peak list of TmThPtRh. It was derived from a DFT-relaxed cell (PBE, Alexandria), using λ = 1.5418 Å (Cu Kα).
Lines closer than 0.1° are merged.

Crystal structure
Lattice parameters (Å, degrees): 4.329 5.770 5.770 38.50 90.00 90.00
Fractional coordinates of all 4 atoms:
Tm (0.000, 0.000, 0.000)
Th (0.500, 0.275, 0.275)
Pt (0.500, 0.548, 0.548)
Rh (0.000, 0.736, 0.736)

Largest 10 diffraction maxima, most intense first, 10° ≤ 2θ ≤ 90°:
32.39°, rel. 100
40.15°, rel. 66
32.88°, rel. 38
41.73°, rel. 28
75.09°, rel. 25
34.13°, rel. 19
47.81°, rel. 19
54.12°, rel. 19
39.07°, rel. 17
65.30°, rel. 15

---

No. 2
The following is a theoretical XRD peak list of Ti6ZnRh12. It was derived from a DFT-relaxed cell (PBE, Alexandria), using λ = 1.5418 Å (Cu Kα).
Lines closer than 0.1° are merged.

Crystal structure
Lattice parameters (Å, degrees): 7.271 7.271 7.271 110.90 110.90 110.90
Fractional coordinates of all 19 atoms:
Ti (0.087, 0.586, 0.371)
Ti (0.371, 0.087, 0.586)
Ti (0.414, 0.629, 0.913)
Ti (0.586, 0.371, 0.087)
Ti (0.629, 0.913, 0.414)
Ti (0.913, 0.414, 0.629)
Zn (0.000, 0.000, 0.000)
Rh (0.104, 0.169, 0.734)
Rh (0.169, 0.734, 0.104)
Rh (0.203, 0.324, 0.474)
Rh (0.266, 0.896, 0.831)
Rh (0.324, 0.474, 0.203)
Rh (0.474, 0.203, 0.324)
Rh (0.526, 0.797, 0.676)
Rh (0.676, 0.526, 0.797)
Rh (0.734, 0.104, 0.169)
Rh (0.797, 0.676, 0.526)
Rh (0.831, 0.266, 0.896)
Rh (0.896, 0.831, 0.266)

Largest 10 diffraction maxima, most intense first, 10° ≤ 2θ ≤ 90°:
40.17°, rel. 100
46.73°, rel. 47
68.22°, rel. 28
82.22°, rel. 24
82.29°, rel. 8
86.81°, rel. 7
21.62°, rel. 5
26.30°, rel. 4
25.77°, rel. 4
33.88°, rel. 3

---

No. 3
The following is a theoretical XRD peak list of Nd2Dy4ErTm. It was derived from a DFT-relaxed cell (PBE, Alexandria), using λ = 1.5418 Å (Cu Kα).
Lines closer than 0.1° are merged.

Crystal structure
Lattice parameters (Å, degrees): 9.500 9.500 6.801 110.97 110.97 88.41
Fractional coordinates of all 16 atoms:
Nd (0.000, 0.000, 0.000)
Nd (0.000, 0.000, 0.500)
Nd (0.000, 0.500, 0.000)
Nd (0.500, 0.000, 0.500)
Dy (0.252, 0.257, 0.506)
Dy (0.255, 0.745, 0.501)
Dy (0.255, 0.745, 0.999)
Dy (0.257, 0.252, 0.006)
Dy (0.743, 0.748, 0.994)
Dy (0.745, 0.255, 0.001)
Dy (0.745, 0.255, 0.499)
Dy (0.748, 0.743, 0.494)
Er (0.000, 0.500, 0.500)
Er (0.500, 0.000, 0.000)
Tm (0.500, 0.500, 0.000)
Tm (0.500, 0.500, 0.500)

Largest 10 diffraction maxima, most intense first, 10° ≤ 2θ ≤ 90°:
30.32°, rel. 100
41.00°, rel. 59
26.92°, rel. 45
40.96°, rel. 29
61.23°, rel. 27
64.55°, rel. 23
53.84°, rel. 13
69.83°, rel. 12
81.02°, rel. 12
63.11°, rel. 8